The following is a simulated PXRD pattern of CdTe2MoN. It was derived from a crystal structure in Alexandria, relaxed with PBE, using Cu Ka.
No peak broadening, texture or thermal motion is included.

Principal peaks in the range 10 to 80 degrees two-theta, by intensity:
32.49°, 2.756 Å, intensity 100, hkl 2 0 0; 32.81°, 2.730 Å, intensity 67, hkl 1 1 1; 28.40°, 3.142 Å, intensity 50, hkl 1 0 1; 46.60°, 1.949 Å, intensity 36, hkl 2 2 0; 58.77°, 1.571 Å, intensity 35, hkl 2 0 2; 43.69°, 2.072 Å, intensity 31, hkl 2 1 1

Structure:
abc: 5.512 5.512 3.825
angles: 90.00 90.00 90.00
Fractional coordinates of all 5 atoms:
Cd (0.000, 0.000, 0.000)
Te (0.000, 0.500, 0.500)
Te (0.500, 0.000, 0.500)
Mo (0.500, 0.500, 0.500)
N (0.500, 0.500, 0.000)